# 1
SrPt2I: computed XRD peak list (copper Kα), based on a crystal structure in Alexandria, relaxed with PBE.
Intensities are scaled so that the largest is 100.

The 10 most intense peaks (10° ≤ 2θ ≤ 90°), sorted by position:
- 4.763 Å, intensity 100, (1 0 1)
- 3.933 Å, intensity 33, (1 0 3)
- 3.274 Å, intensity 87, (1 1 2)
- 2.465 Å, intensity 45, (0 0 8)
- 2.384 Å, intensity 76, (2 0 2)
- 2.197 Å, intensity 33, (2 0 4)
- 2.182 Å, intensity 33, (2 1 1)
- 2.082 Å, intensity 39, (2 1 3)
- 1.918 Å, intensity 31, (2 1 5)
- 1.637 Å, intensity 25, (2 2 4)

Cell and atoms:
```
data_SrPt2I
_cell_length_a 4.9085
_cell_length_b 4.9085
_cell_length_c 19.7187
_cell_angle_alpha 90.00
_cell_angle_beta 90.00
_cell_angle_gamma 90.00
_space_group_name_H-M_alt 'I -4 2 d'
_space_group_IT_number 122
_space_group_name_Hall 'I -4 2bw'
loop_
_atom_site_label
_atom_site_fract_x
_atom_site_fract_y
_atom_site_fract_z
Sr1 0.0000 0.0000 0.0000
Pt1 0.0809 0.2500 0.6250
I1 0.0000 0.0000 0.5000
```

=====

# 2
TaPtI: computed XRD peak list (copper Kα), based on a crystal structure in Alexandria, relaxed with PBE.
Intensities are scaled so that the largest is 100.

The 10 most intense peaks (10° ≤ 2θ ≤ 90°), sorted by position:
- 3.470 Å, intensity 62, (0 1 1)
- 3.018 Å, intensity 36, (0 4 0)
- 2.543 Å, intensity 89, (1 1 0)
- 2.360 Å, intensity 80, (1 1 -2)
- 2.319 Å, intensity 40, (0 4 1)
- 2.272 Å, intensity 100, (1 4 -1)
- 2.185 Å, intensity 35, (1 3 0)
- 2.009 Å, intensity 93, (0 5 1)
- 1.812 Å, intensity 36, (0 0 2)
- 1.382 Å, intensity 36, (1 4 -3)

Cell and atoms:
```
data_TaPtI
_cell_length_a 3.4607
_cell_length_b 12.0739
_cell_length_c 4.8195
_cell_angle_alpha 90.00
_cell_angle_beta 131.26
_cell_angle_gamma 90.00
_space_group_name_H-M_alt 'P 1 c 1'
_space_group_IT_number 7
_space_group_name_Hall 'P -2yc'
loop_
_atom_site_label
_atom_site_fract_x
_atom_site_fract_y
_atom_site_fract_z
Ta1 0.0000 0.1605 0.0000
Pt1 0.1202 0.0665 0.5521
I1 0.5333 0.3475 0.0319
```

=====

# 3
TaPtI: computed XRD peak list (copper Kα), based on a crystal structure in Alexandria, relaxed with PBE.
Intensities are scaled so that the largest is 100.

The 10 most intense peaks (10° ≤ 2θ ≤ 90°), sorted by position:
- 3.198 Å, intensity 37, (1 0 3)
- 2.464 Å, intensity 28, (1 1 0)
- 2.452 Å, intensity 66, (1 0 7)
- 2.414 Å, intensity 100, (1 1 2)
- 2.127 Å, intensity 85, (1 0 9)
- 2.102 Å, intensity 33, (1 1 6)
- 1.858 Å, intensity 29, (1 0 11)
- 1.742 Å, intensity 40, (2 0 0)
- 1.420 Å, intensity 25, (2 1 7)
- 1.348 Å, intensity 40, (2 1 9)

Cell and atoms:
```
data_TaPtI
_cell_length_a 3.4845
_cell_length_b 3.4845
_cell_length_c 24.1620
_cell_angle_alpha 90.00
_cell_angle_beta 90.00
_cell_angle_gamma 90.00
_space_group_name_H-M_alt 'I -4 m 2'
_space_group_IT_number 119
_space_group_name_Hall 'I -4 -2'
loop_
_atom_site_label
_atom_site_fract_x
_atom_site_fract_y
_atom_site_fract_z
Ta1 0.0000 0.0000 0.1682
Pt1 0.0000 0.0000 0.2835
I1 0.0000 0.5000 0.5757
```

=====

# 4
TaPtI: computed XRD peak list (copper Kα), based on a crystal structure in Alexandria, relaxed with PBE.
Intensities are scaled so that the largest is 100.

The 10 most intense peaks (10° ≤ 2θ ≤ 90°), sorted by position:
- 4.126 Å, intensity 49, (0 1 1)
- 2.845 Å, intensity 68, (1 0 2)
- 2.585 Å, intensity 97, (1 1 -2)
- 2.405 Å, intensity 48, (1 1 2)
- 2.382 Å, intensity 34, (1 0 3)
- 2.290 Å, intensity 100, (1 1 -3)
- 2.250 Å, intensity 54, (0 2 0)
- 1.876 Å, intensity 35, (0 1 5)
- 1.699 Å, intensity 37, (2 1 0)
- 1.357 Å, intensity 27, (1 1 -7)

Cell and atoms:
```
data_TaPtI
_cell_length_a 3.6920
_cell_length_b 4.5009
_cell_length_c 10.3834
_cell_angle_alpha 90.00
_cell_angle_beta 96.35
_cell_angle_gamma 90.00
_space_group_name_H-M_alt 'P 1 21/m 1'
_space_group_IT_number 11
_space_group_name_Hall '-P 2yb'
loop_
_atom_site_label
_atom_site_fract_x
_atom_site_fract_y
_atom_site_fract_z
Ta1 0.0753 0.2500 0.1197
Pt1 0.3931 0.7500 0.0701
I1 0.3114 0.7500 0.6650
```

=====

# 5
TiTe2PtI: computed XRD peak list (copper Kα), based on a crystal structure in Alexandria, relaxed with PBE.
Intensities are scaled so that the largest is 100.

The 10 most intense peaks (10° ≤ 2θ ≤ 90°), sorted by position:
- 3.711 Å, intensity 8, (1 0 1)
- 3.047 Å, intensity 100, (1 1 1)
- 2.668 Å, intensity 49, (2 0 0)
- 2.581 Å, intensity 22, (0 0 2)
- 1.887 Å, intensity 18, (2 2 0)
- 1.855 Å, intensity 33, (2 0 2)
- 1.604 Å, intensity 30, (3 1 1)
- 1.566 Å, intensity 14, (1 1 3)
- 1.523 Å, intensity 17, (2 2 2)
- 1.205 Å, intensity 12, (3 1 3)

Cell and atoms:
```
data_TiTe2PtI
_cell_length_a 5.3368
_cell_length_b 5.3368
_cell_length_c 5.1624
_cell_angle_alpha 90.00
_cell_angle_beta 90.00
_cell_angle_gamma 90.00
_space_group_name_H-M_alt 'P 4/m m m'
_space_group_IT_number 123
_space_group_name_Hall '-P 4 2'
loop_
_atom_site_label
_atom_site_fract_x
_atom_site_fract_y
_atom_site_fract_z
Ti1 0.0000 0.0000 0.0000
Te1 0.0000 0.5000 0.0000
Pt1 0.5000 0.5000 0.5000
I1 0.0000 0.0000 0.5000
```